# 1
For Hf4CuC3, a structure optimized by DFT (PBE) gives the calculated powder diffractogram in this record (Cu Ka).
No peak broadening, texture or thermal motion is included.

Peak list (10 most intense, 10 to 90 degrees two-theta, in order of rising 2θ)
h k l, Position (°2θ), d [Å], I_rel
0 0 8, 29.9, 2.991, 188
1 0 2, 32.3, 2.773, 476
1 0 3, 33.4, 2.685, 221
1 0 4, 34.9, 2.574, 344
1 0 5, 36.7, 2.449, 692
0 0 10, 37.6, 2.393, 288
1 0 6, 38.8, 2.319, 1000
1 1 0, 55.9, 1.646, 482
1 0 12, 56.3, 1.634, 273
1 1 10, 69.3, 1.356, 293

Crystal structure
```
Hf4CuC3
1.0
3.2920 0.0000 0.0000
-1.6460 2.8510 0.0000
0.0000 0.0000 23.9255
Hf Cu C
8 2 6
Cartesian
0.0000 0.0000 3.9307
0.0000 0.0000 8.0320
0.0000 0.0000 15.8935
0.0000 0.0000 19.9947
0.0000 1.9007 1.3009
0.0000 1.9007 10.6618
1.6460 0.9503 13.2636
1.6460 0.9503 22.6245
0.0000 1.9007 5.9814
1.6460 0.9503 17.9441
0.0000 0.0000 0.0000
0.0000 0.0000 11.9627
0.0000 1.9007 14.6921
0.0000 1.9007 21.1961
1.6460 0.9503 2.7294
1.6460 0.9503 9.2333
```



# 2
For Hf3CuC2, a structure optimized by DFT (PBE) gives the calculated powder diffractogram in this record (Cu Ka).
No peak broadening, texture or thermal motion is included.

Peak list (10 most intense, 10 to 90 degrees two-theta, in order of rising 2θ)
h k l, Position (°2θ), d [Å], I_rel
0 0 6, 28.6, 3.120, 131
1 0 1, 31.8, 2.811, 442
1 0 2, 32.9, 2.720, 136
1 0 4, 37.0, 2.430, 1000
0 0 8, 38.5, 2.340, 215
1 0 5, 39.8, 2.264, 429
1 0 9, 54.7, 1.679, 193
1 1 0, 56.0, 1.642, 333
2 0 4, 69.0, 1.360, 159
1 1 8, 70.0, 1.344, 226

Crystal structure
```
Hf3CuC2
1.0
3.2830 0.0000 0.0000
-1.6415 2.8432 0.0000
0.0000 0.0000 18.7182
Hf Cu C
6 2 4
Cartesian
0.0000 0.0000 0.0000
0.0000 0.0000 9.3591
0.0000 1.8955 2.6027
0.0000 1.8955 6.7564
1.6415 0.9477 11.9618
1.6415 0.9477 16.1155
0.0000 0.0000 4.6796
0.0000 0.0000 14.0387
0.0000 1.8955 10.7404
0.0000 1.8955 17.3370
1.6415 0.9477 1.3813
1.6415 0.9477 7.9778
```